For Zn2Cu12Ir, a structure optimized by DFT (GGA-PBE) gives the simulated powder diffractogram in this record (a wavelength of 1.5418 Å).

Structure:
```
data_Zn2Cu12Ir
_chemical_formula_sum 'Zn2 Cu12 Ir1'
_space_group_name_H-M_alt 'P m m m'
_space_group_IT_number 47
_space_group_name_Hall '-P 2 2'
_cell_length_a 2.5397
_cell_length_b 4.2032
_cell_length_c 18.5915
_cell_angle_alpha 90.00
_cell_angle_beta 90.00
_cell_angle_gamma 90.00
loop_
_atom_site_label
_atom_site_type_symbol
_atom_site_fract_x
_atom_site_fract_y
_atom_site_fract_z
_atom_site_occupancy
Zn1 Zn 0.0000 0.0000 0.2410 1
Cu1 Cu 0.0000 0.5000 0.0635 1
Cu2 Cu 0.0000 0.5000 0.4229 1
Cu3 Cu 0.5000 0.0000 0.1020 1
Cu4 Cu 0.5000 0.0000 0.3748 1
Cu5 Cu 0.5000 0.5000 0.1773 1
Cu6 Cu 0.5000 0.5000 0.3044 1
Ir1 Ir 0.0000 0.0000 0.5000 1
```

Most intense lines, 10° ≤ 2θ ≤ 80°, by angle:
(1 0 2), 2θ 36.68, d 2.450, I 25; (0 1 7), 2θ 40.16, d 2.245, I 31; (1 0 4), 2θ 40.47, d 2.229, I 38; (1 1 2), 2θ 42.72, d 2.117, I 29; (0 2 0), 2θ 43.04, d 2.102, I 75; (0 1 8), 2θ 44.55, d 2.034, I 100; (1 1 4), 2θ 46.10, d 1.969, I 72; (1 1 6), 2θ 51.34, d 1.780, I 44